[1]
Starting from a structure optimized by DFT (PBE), the X-ray powder pattern of ZnHg4Te5 was calculated for Cu Kα (λ = 1.5418 Å).
Lines closer than 0.1° are merged.

Top 12 peaks for 5° ≤ 2θ ≤ 70°, sorted by position:
2θ/deg  I_rel  index
9.32  1.5  0 0 6
22.26  1.4  0 1 2
23.41  100.0  0 1 5
27.09  2.9  1 0 10
34.81  1.9  0 1 17
38.69  79.1  1 1 0
45.71  50.6  2 0 5
55.87  13.4  2 0 20
61.37  16.2  1 2 5
61.45  4.6  0 1 35
63.17  1.4  1 1 30
69.97  7.1  3 0 0

Cell and atoms:
```
data_ZnHg4Te5
_cell_length_a 4.6576
_cell_length_b 4.6576
_cell_length_c 56.9438
_cell_angle_alpha 90.00
_cell_angle_beta 90.00
_cell_angle_gamma 120.00
_symmetry_space_group_name_H-M 'R 3 m'
_symmetry_Int_Tables_number 160
_symmetry_space_group_name_Hall 'R 3 -2"'
loop_
_atom_site_label
_atom_site_type_symbol
_atom_site_fract_x
_atom_site_fract_y
_atom_site_fract_z
_atom_site_occupancy
Zn1 Zn 0.0000 0.0000 0.0000 1
Hg1 Hg 0.0000 0.0000 0.1999 1
Hg2 Hg 0.0000 0.0000 0.3977 1
Hg3 Hg 0.0000 0.0000 0.6011 1
Hg4 Hg 0.0000 0.0000 0.7994 1
Te1 Te 0.0000 0.0000 0.1499 1
Te2 Te 0.0000 0.0000 0.3469 1
Te3 Te 0.0000 0.0000 0.5508 1
Te4 Te 0.0000 0.0000 0.7491 1
Te5 Te 0.0000 0.0000 0.9526 1
```

[2]
Starting from a structure optimized by DFT (PBE), the X-ray powder pattern of Th3Hg was calculated for Cu Kα (λ = 1.5418 Å).
Lines closer than 0.1° are merged.

Top 8 peaks for 5° ≤ 2θ ≤ 70°, sorted by position:
2θ/deg  I_rel  index
31.43  100.0  1 1 2
35.46  18.3  0 0 4
36.94  32.7  2 0 0
52.14  25.0  2 0 4
53.24  11.7  2 2 0
61.16  15.6  1 1 6
63.15  28.4  3 1 2
65.60  12.7  2 2 4

Cell and atoms:
```
data_Th3Hg
_cell_length_a 4.8664
_cell_length_b 4.8664
_cell_length_c 10.1271
_cell_angle_alpha 90.00
_cell_angle_beta 90.00
_cell_angle_gamma 90.00
_symmetry_space_group_name_H-M 'I 4/m m m'
_symmetry_Int_Tables_number 139
_symmetry_space_group_name_Hall '-I 4 2'
loop_
_atom_site_label
_atom_site_type_symbol
_atom_site_fract_x
_atom_site_fract_y
_atom_site_fract_z
_atom_site_occupancy
Th1 Th 0.0000 0.0000 0.0000 1
Th2 Th 0.0000 0.5000 0.2500 1
Hg1 Hg 0.0000 0.0000 0.5000 1
```

[3]
Starting from a structure optimized by DFT (PBE), the X-ray powder pattern of ThHg3 was calculated for Cu Kα (λ = 1.5418 Å).
Lines closer than 0.1° are merged.

Top 9 peaks for 5° ≤ 2θ ≤ 70°, sorted by position:
2θ/deg  I_rel  index
30.18  24.7  2 0 0
35.13  100.0  2 0 1
35.57  21.6  0 0 2
47.32  14.7  2 0 2
53.60  20.3  2 2 0
62.75  3.2  4 0 0
63.60  18.4  2 0 3
65.71  16.6  4 0 1
65.99  22.0  2 2 2

Cell and atoms:
```
data_ThHg3
_cell_length_a 6.8396
_cell_length_b 6.8396
_cell_length_c 5.0479
_cell_angle_alpha 90.00
_cell_angle_beta 90.00
_cell_angle_gamma 120.00
_symmetry_space_group_name_H-M 'P 63/m m c'
_symmetry_Int_Tables_number 194
_symmetry_space_group_name_Hall '-P 6c 2c'
loop_
_atom_site_label
_atom_site_type_symbol
_atom_site_fract_x
_atom_site_fract_y
_atom_site_fract_z
_atom_site_occupancy
Th1 Th 0.3333 0.6667 0.2500 1
Hg1 Hg 0.1633 0.3265 0.7500 1
```